[1]
# Li4Mn3Cr3Fe2O16
Theoretical XRD peak list, Cu Kα. Input: a crystal structure in the Materials Project, relaxed with GGA+U.
No peak broadening, texture or thermal motion is included.

Structural model:
```
data_Li4Mn3Cr3Fe2O16
_chemical_formula_sum 'Li8 Mn6 Cr6 Fe4 O32'
_symmetry_space_group_name_H-M 'C 1 m 1'
_symmetry_Int_Tables_number 8
_symmetry_space_group_name_Hall 'C -2y'
_cell_length_a 10.1231
_cell_length_b 5.8255
_cell_length_c 9.5428
_cell_angle_alpha 90.00
_cell_angle_beta 90.40
_cell_angle_gamma 90.00
loop_
_atom_site_label
_atom_site_fract_x
_atom_site_fract_y
_atom_site_fract_z
_atom_site_occupancy
Li1 0.0000 0.0000 0.0000 1
Li2 0.0012 0.0000 0.5016 1
Li3 0.1643 0.5000 0.8958 1
Li4 0.3292 0.0000 0.3962 1
Mn1 0.0833 0.2552 0.2195 1
Mn2 0.1681 0.0000 0.7194 1
Cr1 0.3289 0.5000 0.2189 1
Cr2 0.4140 0.2438 0.7173 1
Fe1 0.1660 0.5000 0.4986 1
Fe2 0.3337 0.0000 0.9964 1
O1 0.0020 0.0000 0.3140 1
O2 0.0022 0.0000 0.8131 1
O3 0.0166 0.5000 0.3371 1
O4 0.0816 0.2450 0.6072 1
O5 0.1614 0.0000 0.1090 1
O6 0.1608 0.5000 0.1131 1
O7 0.2369 0.2778 0.3365 1
O8 0.2572 0.2217 0.8368 1
O9 0.3264 0.0000 0.6098 1
O10 0.3384 0.5000 0.6076 1
O11 0.4198 0.2548 0.1062 1
O12 0.4803 0.0000 0.8362 1
```

Principal peaks in the range 2θ = 10–80°, by angle:
| d/Å | two_theta | I (rel.) |
| --- | --- | --- |
| 4.771 | 18.6 | 100 |
| 4.474 | 19.8 | 78 |
| 4.457 | 19.9 | 70 |
| 2.698 | 33.2 | 30 |
| 2.686 | 33.4 | 30 |
| 2.485 | 36.1 | 56 |
| 2.441 | 36.8 | 62 |
| 1.974 | 46.0 | 41 |
| 1.520 | 61.0 | 36 |
| 1.460 | 63.7 | 40 |


[2]
# Rb3LiErV2O8
Theoretical XRD peak list, Cu Kα. Input: a crystal structure in the Materials Project, relaxed with GGA+U.
No peak broadening, texture or thermal motion is included.

Structural model:
```
data_Rb3LiErV2O8
_chemical_formula_sum 'Rb6 Li2 Er2 V4 O16'
_symmetry_space_group_name_H-M 'C 1 2/m 1'
_symmetry_Int_Tables_number 12
_symmetry_space_group_name_Hall '-C 2y'
_cell_length_a 10.4958
_cell_length_b 6.1376
_cell_length_c 8.4075
_cell_angle_alpha 90.00
_cell_angle_beta 93.07
_cell_angle_gamma 90.00
loop_
_atom_site_label
_atom_site_fract_x
_atom_site_fract_y
_atom_site_fract_z
_atom_site_occupancy
Rb1 0.0000 0.0000 0.0000 1
Rb2 0.1752 0.5000 0.2529 1
Li1 0.0000 0.5000 0.5000 1
Er1 0.0000 0.0000 0.5000 1
V1 0.1816 0.5000 0.7316 1
O1 0.0938 0.2748 0.6354 1
O2 0.1559 0.0000 0.3188 1
O3 0.1640 0.5000 0.9325 1
```

Principal peaks in the range 2θ = 10–80°, by angle:
| d/Å | two_theta | I (rel.) |
| --- | --- | --- |
| 8.395 | 10.5 | 33 |
| 3.365 | 26.5 | 49 |
| 3.334 | 26.7 | 49 |
| 3.247 | 27.5 | 59 |
| 3.194 | 27.9 | 32 |
| 3.069 | 29.1 | 55 |
| 3.036 | 29.4 | 100 |
| 2.213 | 40.8 | 40 |
| 1.830 | 49.8 | 24 |
| 1.765 | 51.8 | 38 |


[3]
# Li6V2C4SO16
Theoretical XRD peak list, Cu Kα. Input: a crystal structure in the Materials Project, relaxed with GGA+U.
No peak broadening, texture or thermal motion is included.

Structural model:
abc: 13.3933 13.3933 13.3933
angles: 90.00 90.00 90.00
Space group Fd-3 (No. 203, origin choice 2)
Asymmetric unit:
Li: 0.0924 0.3750 0.3750 x48
V: 0.0000 0.0000 0.5000 x16
C: 0.0249 0.0249 0.7251 x32
S: 0.1250 0.1250 0.1250 x8
O: 0.0209 0.2918 0.5950 x96
O: 0.0605 0.0605 0.0605 x32

Principal peaks in the range 2θ = 10–80°, by angle:
| d/Å | two_theta | I (rel.) |
| --- | --- | --- |
| 7.733 | 11.4 | 24 |
| 4.735 | 18.7 | 15 |
| 4.038 | 22.0 | 100 |
| 3.348 | 26.6 | 32 |
| 2.578 | 34.8 | 41 |
| 2.368 | 38.0 | 33 |
| 2.264 | 39.8 | 41 |
| 2.019 | 44.9 | 15 |
| 1.744 | 52.5 | 14 |
| 1.547 | 59.8 | 26 |


[4]
# VHO3
Theoretical XRD peak list, Cu Kα. Input: a crystal structure in the Materials Project, relaxed with GGA+U.
No peak broadening, texture or thermal motion is included.

Structural model:
```
data_VHO3
_chemical_formula_sum 'V4 H4 O12'
_symmetry_space_group_name_H-M 'P 1'
_symmetry_Int_Tables_number 1
_symmetry_space_group_name_Hall 'P 1'
_cell_length_a 3.6732
_cell_length_b 6.1825
_cell_length_c 12.1112
_cell_angle_alpha 85.69
_cell_angle_beta 89.36
_cell_angle_gamma 72.92
loop_
_atom_site_label
_atom_site_fract_x
_atom_site_fract_y
_atom_site_fract_z
_atom_site_occupancy
V1 0.0000 0.0000 0.0000 1
V2 0.1462 0.7183 0.7328 1
V3 0.2935 0.4135 0.9984 1
V4 0.4404 0.1329 0.7321 1
H1 0.3390 0.8556 0.3978 1
H2 0.6815 0.6485 0.3746 1
H3 0.6876 0.2471 0.3710 1
H4 0.9483 0.3261 0.2852 1
O1 0.0160 0.9601 0.1319 1
O2 0.1444 0.7134 0.9495 1
O3 0.1519 0.7161 0.6009 1
O4 0.2877 0.4116 0.1313 1
O5 0.2959 0.4180 0.7844 1
O6 0.4239 0.1765 0.6003 1
O7 0.4638 0.0746 0.9639 1
O8 0.6024 0.8161 0.3745 1
O9 0.6089 0.7916 0.7601 1
O10 0.8302 0.3417 0.9721 1
O11 0.8636 0.3388 0.3616 1
O12 0.9765 0.0577 0.7681 1
```

Principal peaks in the range 2θ = 10–80°, by angle:
| d/Å | two_theta | I (rel.) |
| --- | --- | --- |
| 5.146 | 17.2 | 27 |
| 4.025 | 22.1 | 100 |
| 3.507 | 25.4 | 55 |
| 3.361 | 26.5 | 40 |
| 3.334 | 26.7 | 38 |
| 3.019 | 29.6 | 32 |
| 2.914 | 30.7 | 53 |
| 2.415 | 37.2 | 39 |
| 1.964 | 46.2 | 33 |
| 1.837 | 49.6 | 38 |